(1)
Diffraction record for UN2. The X-ray powder pattern is theoretical, not measured: it uses a structure optimized by DFT (PBE) and Cu Kα, 1.54184 Å.
No peak broadening, texture or thermal motion is included.

Crystal structure
```
UN2
1.0
4.9300 0.0000 0.0000
0.0000 4.9300 0.0000
0.0000 0.0000 3.4915
U N
2 4
direct
0.0000 0.0000 0.0000
0.5000 0.5000 0.5000
0.1812 0.1812 0.5000
0.3188 0.6812 0.0000
0.6812 0.3188 0.0000
0.8188 0.8188 0.5000
```

Top 6 peaks for 2θ from 15° to 90°, low angle first:
d (Å)  I/Imax
3.486  97
2.849  100
2.465  33
1.864  71
1.744  23
1.560  38

---

(2)
Diffraction record for Li4Ga2AgHg. The X-ray powder pattern is theoretical, not measured: it uses a structure optimized by DFT (PBE) and Cu Kα, 1.54184 Å.
No peak broadening, texture or thermal motion is included.

Crystal structure
```
Li4Ga2AgHg
1.0
4.4813 0.0000 0.0000
0.0000 4.4813 0.0000
0.0000 0.0000 6.3425
Li Ga Ag Hg
4 2 1 1
direct
0.0000 0.0000 0.0000
0.0000 0.5000 0.7458
0.5000 0.0000 0.2542
0.5000 0.5000 0.5000
0.0000 0.5000 0.2627
0.5000 0.0000 0.7373
0.0000 0.0000 0.5000
0.5000 0.5000 0.0000
```

Top 6 peaks for 2θ from 15° to 90°, low angle first:
d (Å)  I/Imax
3.660  100
2.241  84
1.911  50
1.454  20
1.294  28
1.220  15

---

(3)
Diffraction record for ErB. The X-ray powder pattern is theoretical, not measured: it uses a structure optimized by DFT (PBE) and Cu Kα, 1.54184 Å.
No peak broadening, texture or thermal motion is included.

Crystal structure
```
ErB
1.0
5.2777 0.0000 0.0000
0.0000 5.2777 0.0000
0.0000 0.0000 5.2777
Er B
4 4
direct
0.0000 0.0000 0.0000
0.0000 0.5000 0.5000
0.5000 0.0000 0.5000
0.5000 0.5000 0.0000
0.0000 0.0000 0.5000
0.0000 0.5000 0.0000
0.5000 0.0000 0.0000
0.5000 0.5000 0.5000
```

Top 6 peaks for 2θ from 15° to 90°, low angle first:
d (Å)  I/Imax
3.047  100
2.639  63
1.866  45
1.591  46
1.211  19
1.180  20

---

(4)
Diffraction record for TlPd3. The X-ray powder pattern is theoretical, not measured: it uses a structure optimized by DFT (PBE) and Cu Kα, 1.54184 Å.
No peak broadening, texture or thermal motion is included.

Crystal structure
```
TlPd3
1.0
4.0827 0.0000 0.0000
0.0000 4.0827 0.0000
0.0000 0.0000 7.9976
Tl Pd
2 6
direct
0.0000 0.0000 0.0000
0.5000 0.5000 0.5000
0.0000 0.0000 0.5000
0.0000 0.5000 0.2500
0.0000 0.5000 0.7500
0.5000 0.0000 0.2500
0.5000 0.0000 0.7500
0.5000 0.5000 0.0000
```

Top 6 peaks for 2θ from 15° to 90°, low angle first:
d (Å)  I/Imax
2.341  100
2.041  33
1.999  16
1.428  21
1.229  25
1.210  12

---

(5)
Diffraction record for Zr2Ni3Sn2. The X-ray powder pattern is theoretical, not measured: it uses a structure optimized by DFT (PBE) and Cu Kα, 1.54184 Å.
No peak broadening, texture or thermal motion is included.

Crystal structure
```
Zr2Ni3Sn2
1.0
2.2014 1.2710 7.2330
-2.2014 1.2710 7.2330
0.0000 -2.5419 7.2330
Zr Ni Sn
2 3 2
direct
0.0000 0.0000 0.0000
0.4935 0.4935 0.4935
0.3722 0.3722 0.3722
0.6184 0.6184 0.6184
0.8712 0.8712 0.8712
0.2447 0.2447 0.2447
0.7478 0.7478 0.7478
```

Top 6 peaks for 2θ from 15° to 90°, low angle first:
d (Å)  I/Imax
3.119  36
2.210  100
2.201  100
1.560  33
1.273  33
1.271  17

---

(6)
Diffraction record for HfZrP2. The X-ray powder pattern is theoretical, not measured: it uses a structure optimized by DFT (PBE) and Cu Kα, 1.54184 Å.
No peak broadening, texture or thermal motion is included.

Crystal structure
```
HfZrP2
1.0
3.6841 0.0000 0.0000
-1.8421 3.1906 0.0000
0.0000 0.0000 12.5080
Hf Zr P
2 2 4
direct
0.3333 0.6667 0.0000
0.6667 0.3333 0.5000
0.3333 0.6667 0.2678
0.6667 0.3333 0.7678
0.0000 0.0000 0.3863
0.0000 0.0000 0.8863
0.3333 0.6667 0.6318
0.6667 0.3333 0.1318
```

Top 6 peaks for 2θ from 15° to 90°, low angle first:
d (Å)  I/Imax
3.191  27
3.127  24
3.092  68
2.534  100
2.233  31
1.842  43

---

(7)
Diffraction record for HfSc2Ge3Ir3. The X-ray powder pattern is theoretical, not measured: it uses a structure optimized by DFT (PBE) and Cu Kα, 1.54184 Å.
No peak broadening, texture or thermal motion is included.

Crystal structure
```
HfSc2Ge3Ir3
1.0
3.9383 0.0000 0.0000
0.0000 5.7494 3.3148
0.0000 -5.7494 3.3148
Hf Sc Ge Ir
1 2 3 3
direct
0.0000 0.0000 0.0000
0.0000 0.1535 0.5761
0.0000 0.5761 0.1535
0.0000 0.5739 0.5739
0.5000 0.2452 0.9083
0.5000 0.9083 0.2452
0.5000 0.3279 0.3279
0.5000 0.5797 0.8230
0.5000 0.8230 0.5797
```

Top 6 peaks for 2θ from 15° to 90°, low angle first:
d (Å)  I/Imax
5.749  43
2.537  100
2.321  79
2.171  74
1.902  55
1.459  42

---

(8)
Diffraction record for NbW7. The X-ray powder pattern is theoretical, not measured: it uses a structure optimized by DFT (PBE) and Cu Kα, 1.54184 Å.
No peak broadening, texture or thermal motion is included.

Crystal structure
```
NbW7
1.0
4.5193 0.0000 0.0000
0.0000 4.5193 0.0000
0.0000 0.0000 6.4009
Nb W
1 7
direct
0.0000 0.0000 0.0000
0.0000 0.0000 0.5000
0.0000 0.5000 0.2521
0.0000 0.5000 0.7479
0.5000 0.0000 0.2521
0.5000 0.0000 0.7479
0.5000 0.5000 0.0000
0.5000 0.5000 0.5000
```

Top 6 peaks for 2θ from 15° to 90°, low angle first:
d (Å)  I/Imax
4.519  1
3.692  1
2.261  100
1.599  17
1.305  35
1.130  11